Starting from a crystal structure in the Materials Project, relaxed with PBE+U, the X-ray diffraction stick pattern of Li2Fe3BiO8 was computed for Cu Kα X-rays.
Lines closer than 0.1° are merged.

The 10 most intense peaks (2θ = 5–70°), by angle:
Position (°2θ)  I (rel.)  hkl
17.59  100  1 -1 1
17.74  31  1 1 1
22.75  21  2 -1 0
22.86  26  1 2 0
33.99  18  1 -3 1
34.11  36  -3 1 1
34.26  18  1 3 1
35.59  19  2 2 -2
41.40  44  0 4 0
41.53  21  4 0 0

Crystal structure
a b c (Å): 8.699 8.720 8.729
angles (deg): 90.47 90.18 90.41
Element x y z (fractional)
Li 0.000 0.000 0.000
Li 0.000 0.498 0.498
Li 0.243 0.249 0.746
Li 0.245 0.747 0.244
Li 0.500 0.499 0.005
Li 0.501 0.997 0.502
Li 0.747 0.753 0.748
Li 0.751 0.250 0.245
Fe 0.106 0.620 0.859
Fe 0.122 0.860 0.607
Fe 0.141 0.108 0.375
Fe 0.362 0.611 0.625
Fe 0.371 0.364 0.389
Fe 0.388 0.127 0.142
Fe 0.605 0.372 0.643
Fe 0.620 0.133 0.884
Fe 0.640 0.887 0.125
Fe 0.855 0.388 0.876
Fe 0.875 0.640 0.108
Fe 0.891 0.875 0.357
Bi 0.122 0.374 0.123
Bi 0.372 0.873 0.875
Bi 0.628 0.625 0.372
Bi 0.875 0.124 0.623
O 0.094 0.385 0.868
O 0.113 0.629 0.092
O 0.123 0.879 0.379
O 0.128 0.862 0.850
O 0.129 0.096 0.611
O 0.144 0.627 0.629
O 0.153 0.349 0.384
O 0.156 0.120 0.137
O 0.354 0.624 0.852
O 0.365 0.589 0.402
O 0.365 0.838 0.625
O 0.372 0.388 0.614
O 0.373 0.138 0.372
O 0.382 0.361 0.164
O 0.395 0.123 0.894
O 0.397 0.886 0.120
O 0.582 0.608 0.634
O 0.591 0.365 0.404
O 0.612 0.136 0.664
O 0.617 0.120 0.103
O 0.621 0.906 0.882
O 0.622 0.356 0.873
O 0.636 0.652 0.118
O 0.647 0.881 0.358
O 0.837 0.380 0.637
O 0.844 0.149 0.881
O 0.868 0.402 0.110
O 0.868 0.870 0.128
O 0.878 0.619 0.876
O 0.879 0.638 0.348
O 0.891 0.866 0.598
O 0.904 0.113 0.368